Entry 1:
This entry pairs a crystal structure of Ti2ReP4 with its theoretical powder XRD pattern. Radiation: Cu Kα (λ = 1.5418 Å). Structure: a PBE-relaxed structure.

Structure:
Cell: 13.1857 3.2259 5.9260 Å, 90.00 115.03 90.00°
Sites, in units of the cell vectors:
1 Ti 0.2488 0.0000 0.2480
2 Ti 0.2512 0.5000 0.7520
3 Ti 0.7488 0.5000 0.2480
4 Ti 0.7512 0.0000 0.7520
5 Re 0.0000 0.5000 0.5000
6 Re 0.5000 0.0000 0.5000
7 P 0.1124 0.0000 0.8103
8 P 0.1227 0.5000 0.2973
9 P 0.3773 0.0000 0.7027
10 P 0.3876 0.5000 0.1897
11 P 0.6124 0.5000 0.8103
12 P 0.6227 0.0000 0.2973
13 P 0.8773 0.5000 0.7027
14 P 0.8876 0.0000 0.1897

The 10 most intense peaks (10° ≤ 2θ ≤ 90°), sorted by position:
2θ/deg	Rel. int.
16.51	98
16.90	93
27.35	39
28.66	55
31.58	70
34.86	39
42.31	60
43.71	100
44.38	47
54.49	41

=====

Entry 2:
This entry pairs a crystal structure of Sr2PmSe4 with its theoretical powder XRD pattern. Radiation: Cu Kα (λ = 1.5418 Å). Structure: a PBE-relaxed structure.

Structure:
Cell: 7.7683 7.7683 13.6629 Å, 90.00 90.00 148.31°
Sites, in units of the cell vectors:
1 Sr 0.1295 0.8705 0.5695
2 Sr 0.1295 0.8705 0.9305
3 Sr 0.8705 0.1295 0.0695
4 Sr 0.8705 0.1295 0.4305
5 Pm 0.3873 0.6127 0.7500
6 Pm 0.6127 0.3873 0.2500
7 Se 0.0174 0.9826 0.7500
8 Se 0.2226 0.7774 0.1369
9 Se 0.2226 0.7774 0.3631
10 Se 0.5000 0.5000 0.0000
11 Se 0.5000 0.5000 0.5000
12 Se 0.7774 0.2226 0.6369
13 Se 0.7774 0.2226 0.8631
14 Se 0.9826 0.0174 0.2500

The 10 most intense peaks (10° ≤ 2θ ≤ 90°), sorted by position:
2θ/deg	Rel. int.
13.51	27
22.87	67
28.39	100
28.74	56
30.62	84
39.15	62
39.70	55
41.31	35
42.62	37
48.92	23

=====

Entry 3:
This entry pairs a crystal structure of Tb3Mg2Pb4 with its theoretical powder XRD pattern. Radiation: Cu Kα (λ = 1.5418 Å). Structure: a PBE-relaxed structure.

Structure:
Cell: 4.7149 7.0881 8.4523 Å, 110.70 106.19 90.02°
Sites, in units of the cell vectors:
1 Tb 0.0000 0.0000 0.0000
2 Tb 0.1249 0.6131 0.2489
3 Tb 0.8751 0.3869 0.7511
4 Mg 0.3282 0.9999 0.6595
5 Mg 0.6718 0.0001 0.3405
6 Pb 0.2215 0.2720 0.4407
7 Pb 0.4813 0.6983 0.9628
8 Pb 0.5187 0.3017 0.0372
9 Pb 0.7785 0.7280 0.5593

The 10 most intense peaks (10° ≤ 2θ ≤ 90°), sorted by position:
2θ/deg	Rel. int.
23.58	19
25.90	49
31.85	24
32.24	100
32.55	88
33.11	32
33.62	19
38.18	44
51.41	19
65.31	22

=====

Copy entry 1 word for word.
This entry pairs a crystal structure of Ti2ReP4 with its theoretical powder XRD pattern. Radiation: Cu Kα (λ = 1.5418 Å). Structure: a PBE-relaxed structure.

Structure:
Cell: 13.1857 3.2259 5.9260 Å, 90.00 115.03 90.00°
Sites, in units of the cell vectors:
1 Ti 0.2488 0.0000 0.2480
2 Ti 0.2512 0.5000 0.7520
3 Ti 0.7488 0.5000 0.2480
4 Ti 0.7512 0.0000 0.7520
5 Re 0.0000 0.5000 0.5000
6 Re 0.5000 0.0000 0.5000
7 P 0.1124 0.0000 0.8103
8 P 0.1227 0.5000 0.2973
9 P 0.3773 0.0000 0.7027
10 P 0.3876 0.5000 0.1897
11 P 0.6124 0.5000 0.8103
12 P 0.6227 0.0000 0.2973
13 P 0.8773 0.5000 0.7027
14 P 0.8876 0.0000 0.1897

The 10 most intense peaks (10° ≤ 2θ ≤ 90°), sorted by position:
2θ/deg	Rel. int.
16.51	98
16.90	93
27.35	39
28.66	55
31.58	70
34.86	39
42.31	60
43.71	100
44.38	47
54.49	41